Computed X-ray powder pattern of Ca3W2O9 for copper Kα, from a GGA+U-relaxed structure.

Cell and atoms:
Unit cell a=8.681 b=7.823 c=15.756 alpha=90.00 beta=90.00 gamma=90.00
Space group Pnma (No. 62)
Asymmetric unit:
Ca (0.000, 0.000, 0.000) (multiplicity 4)
Ca (0.188, 0.250, 0.425) (multiplicity 4)
Ca (0.211, 0.750, 0.140) (multiplicity 4)
W (0.146, 0.750, 0.395) (multiplicity 4)
W (0.243, 0.250, 0.169) (multiplicity 4)
O (0.054, 0.250, 0.568) (multiplicity 4)
O (0.067, 0.750, 0.622) (multiplicity 4)
O (0.112, 0.750, 0.015) (multiplicity 4)
O (0.141, 0.750, 0.281) (multiplicity 4)
O (0.145, 0.055, 0.133) (multiplicity 8)
O (0.238, 0.750, 0.783) (multiplicity 4)
O (0.247, 0.559, 0.431) (multiplicity 8)

Largest 10 diffraction maxima, by angle, 15 to 90 degrees two-theta:
16.26 deg, rel. 44
20.42 deg, rel. 45
21.23 deg, rel. 19
22.57 deg, rel. 19
22.78 deg, rel. 100
23.43 deg, rel. 22
24.82 deg, rel. 35
25.61 deg, rel. 20
30.77 deg, rel. 21
33.91 deg, rel. 18